Record 1
# AlB2MoAu
Simulated X-ray diffraction stick pattern, Cu Kα, 1.54184 Å. Input: a crystal structure in Alexandria, relaxed with GGA-PBE.
Kinematic intensities with the Lorentz-polarization factor, no thermal factor.

```
data_AlB2MoAu
_chemical_formula_sum 'Al1 B2 Mo1 Au1'
_cell_length_a 4.0993
_cell_length_b 4.0993
_cell_length_c 4.6692
_cell_angle_alpha 90.00
_cell_angle_beta 90.00
_cell_angle_gamma 90.00
_space_group_name_H-M_alt 'P 4/m m m'
_space_group_IT_number 123
_space_group_name_Hall '-P 4 2'
loop_
_atom_site_label
_atom_site_type_symbol
_atom_site_fract_x
_atom_site_fract_y
_atom_site_fract_z
Al1 Al 0.0000 0.0000 0.0000
B1 B 0.0000 0.5000 0.0000
Mo1 Mo 0.0000 0.0000 0.5000
Au1 Au 0.5000 0.5000 0.5000
```

Peak list (12 most intense, 2θ from 10° to 90°, low angle first)
19.0 deg, I 95; 29.0 deg, I 36; 30.8 deg, I 90; 36.5 deg, I 100; 38.6 deg, I 30; 44.2 deg, I 41; 48.5 deg, I 36; 50.2 deg, I 47; 60.1 deg, I 32; 76.2 deg, I 23; 77.5 deg, I 16; 85.7 deg, I 21


Record 2
# Ba2AlAu2
Simulated X-ray diffraction stick pattern, Cu Kα, 1.54184 Å. Input: a crystal structure in Alexandria, relaxed with GGA-PBE.
Kinematic intensities with the Lorentz-polarization factor, no thermal factor.

```
data_Ba2AlAu2
_chemical_formula_sum 'Ba8 Al4 Au8'
_cell_length_a 13.0487
_cell_length_b 4.5704
_cell_length_c 12.0375
_cell_angle_alpha 90.00
_cell_angle_beta 119.66
_cell_angle_gamma 90.00
_space_group_name_H-M_alt 'C 1 2/m 1'
_space_group_IT_number 12
loop_
_space_group_symop_operation_xyz
'x,y,z'
'-x,-y,-z'
'-x,y,-z'
'x,-y,z'
'x+1/2,y+1/2,z'
'-x+1/2,-y+1/2,-z'
'-x+1/2,y+1/2,-z'
'x+1/2,-y+1/2,z'
loop_
_atom_site_label
_atom_site_type_symbol
_atom_site_fract_x
_atom_site_fract_y
_atom_site_fract_z
Ba1 Ba 0.0093 0.0000 0.1628
Ba2 Ba 0.1778 0.0000 0.6061
Al1 Al 0.2178 0.5000 0.8719
Au1 Au 0.0050 0.5000 0.6374
Au2 Au 0.1756 0.5000 0.0695
```

Peak list (12 most intense, 2θ from 10° to 90°, low angle first)
24.1 deg, I 18; 27.4 deg, I 22; 28.4 deg, I 32; 28.5 deg, I 100; 30.0 deg, I 94; 31.6 deg, I 27; 33.2 deg, I 32; 34.3 deg, I 21; 35.0 deg, I 39; 39.4 deg, I 35; 52.5 deg, I 18; 53.1 deg, I 22


Record 3
# Ba3Al4Au
Simulated X-ray diffraction stick pattern, Cu Kα, 1.54184 Å. Input: a crystal structure in Alexandria, relaxed with GGA-PBE.
Kinematic intensities with the Lorentz-polarization factor, no thermal factor.

```
data_Ba3Al4Au
_chemical_formula_sum 'Ba6 Al8 Au2'
_cell_length_a 6.1688
_cell_length_b 12.9467
_cell_length_c 6.4376
_cell_angle_alpha 90.00
_cell_angle_beta 90.00
_cell_angle_gamma 90.00
_space_group_name_H-M_alt 'P m m n'
_space_group_IT_number 59
loop_
_space_group_symop_operation_xyz
'x,y,z'
'-x,-y,-z'
'-x+1/2,-y+1/2,z'
'x+1/2,y+1/2,-z'
'x+1/2,-y,-z'
'-x+1/2,y,z'
'-x,y+1/2,-z'
'x,-y+1/2,z'
loop_
_atom_site_label
_atom_site_type_symbol
_atom_site_fract_x
_atom_site_fract_y
_atom_site_fract_z
Ba1 Ba 0.2500 0.0057 0.1917
Ba2 Ba 0.2500 0.7500 0.5193
Al1 Al 0.0093 0.2500 0.9750
Al2 Al 0.2500 0.1428 0.6889
Au1 Au 0.2500 0.2500 0.3221
```

Peak list (12 most intense, 2θ from 10° to 90°, low angle first)
13.7 deg, I 20; 15.4 deg, I 26; 19.4 deg, I 48; 19.9 deg, I 84; 27.6 deg, I 54; 28.9 deg, I 48; 32.1 deg, I 41; 34.3 deg, I 100; 35.1 deg, I 44; 40.4 deg, I 26; 45.3 deg, I 19; 54.8 deg, I 26


Record 4
# BaAl4Au6
Simulated X-ray diffraction stick pattern, Cu Kα, 1.54184 Å. Input: a crystal structure in Alexandria, relaxed with GGA-PBE.
Kinematic intensities with the Lorentz-polarization factor, no thermal factor.

```
data_BaAl4Au6
_chemical_formula_sum 'Ba1 Al4 Au6'
_cell_length_a 6.5884
_cell_length_b 6.6519
_cell_length_c 6.8446
_cell_angle_alpha 117.75
_cell_angle_beta 115.51
_cell_angle_gamma 92.10
_space_group_name_H-M_alt 'P 1'
_space_group_IT_number 1
loop_
_space_group_symop_operation_xyz
'x,y,z'
loop_
_atom_site_label
_atom_site_type_symbol
_atom_site_fract_x
_atom_site_fract_y
_atom_site_fract_z
Ba1 Ba 0.0000 0.0000 0.0000
Al1 Al 0.4058 0.6346 0.8081
Al2 Al 0.4143 0.8937 0.4910
Al3 Al 0.5223 0.2437 0.0345
Al4 Al 0.9178 0.6543 0.2626
Au1 Au 0.1194 0.0901 0.6027
Au2 Au 0.1891 0.5288 0.0231
Au3 Au 0.5073 0.5177 0.4587
Au4 Au 0.6097 0.9931 0.2602
Au5 Au 0.6779 0.3331 0.7785
Au6 Au 0.9528 0.4553 0.5084
```

Peak list (12 most intense, 2θ from 10° to 90°, low angle first)
15.8 deg, I 73; 29.5 deg, I 55; 30.8 deg, I 40; 31.5 deg, I 47; 31.6 deg, I 100; 31.8 deg, I 64; 32.0 deg, I 89; 38.9 deg, I 41; 39.1 deg, I 52; 39.8 deg, I 38; 41.2 deg, I 40; 43.6 deg, I 41


Record 5
# BaAlCuAu6
Simulated X-ray diffraction stick pattern, Cu Kα, 1.54184 Å. Input: a crystal structure in Alexandria, relaxed with GGA-PBE.
Kinematic intensities with the Lorentz-polarization factor, no thermal factor.

```
data_BaAlCuAu6
_chemical_formula_sum 'Ba4 Al4 Cu4 Au24'
_cell_length_a 7.3075
_cell_length_b 8.6219
_cell_length_c 14.2889
_cell_angle_alpha 90.00
_cell_angle_beta 90.00
_cell_angle_gamma 90.00
_space_group_name_H-M_alt 'I m m a'
_space_group_IT_number 74
_space_group_name_Hall '-I 2b 2'
loop_
_atom_site_label
_atom_site_type_symbol
_atom_site_fract_x
_atom_site_fract_y
_atom_site_fract_z
Ba1 Ba 0.0000 0.2500 0.0990
Al1 Al 0.0000 0.0000 0.5000
Cu1 Cu 0.2500 0.2500 0.7500
Au1 Au 0.0000 0.2500 0.3982
Au2 Au 0.0000 0.2500 0.8716
Au3 Au 0.2033 0.0209 0.6453
```

Peak list (12 most intense, 2θ from 10° to 90°, low angle first)
20.2 deg, I 25; 24.8 deg, I 18; 24.9 deg, I 82; 27.4 deg, I 15; 30.5 deg, I 15; 32.1 deg, I 88; 41.1 deg, I 100; 41.6 deg, I 19; 41.9 deg, I 32; 43.4 deg, I 25; 49.4 deg, I 22; 70.9 deg, I 19


Record 6
# BaSrAlAu
Simulated X-ray diffraction stick pattern, Cu Kα, 1.54184 Å. Input: a crystal structure in Alexandria, relaxed with GGA-PBE.
Kinematic intensities with the Lorentz-polarization factor, no thermal factor.

```
data_BaSrAlAu
_chemical_formula_sum 'Ba2 Sr2 Al2 Au2'
_cell_length_a 8.0070
_cell_length_b 4.6223
_cell_length_c 8.7112
_cell_angle_alpha 90.00
_cell_angle_beta 107.91
_cell_angle_gamma 90.00
_space_group_name_H-M_alt 'C 1 m 1'
_space_group_IT_number 8
loop_
_space_group_symop_operation_xyz
'x,y,z'
'x,-y,z'
'x+1/2,y+1/2,z'
'x+1/2,-y+1/2,z'
loop_
_atom_site_label
_atom_site_type_symbol
_atom_site_fract_x
_atom_site_fract_y
_atom_site_fract_z
Ba1 Ba 0.0000 0.0000 0.0000
Sr1 Sr 0.1714 0.0000 0.5126
Al1 Al 0.2565 0.5000 0.2688
Au1 Au 0.4249 0.0000 0.2736
```

Peak list (12 most intense, 2θ from 10° to 90°, low angle first)
10.7 deg, I 100; 22.5 deg, I 24; 23.3 deg, I 41; 26.5 deg, I 60; 28.6 deg, I 76; 33.7 deg, I 56; 39.0 deg, I 59; 40.5 deg, I 25; 49.1 deg, I 17; 51.6 deg, I 19; 60.0 deg, I 31; 64.3 deg, I 18


Record 7
# BeAl2Au6
Simulated X-ray diffraction stick pattern, Cu Kα, 1.54184 Å. Input: a crystal structure in Alexandria, relaxed with GGA-PBE.
Kinematic intensities with the Lorentz-polarization factor, no thermal factor.

```
data_BeAl2Au6
_chemical_formula_sum 'Be2 Al4 Au12'
_cell_length_a 8.9302
_cell_length_b 4.0743
_cell_length_c 8.4079
_cell_angle_alpha 90.00
_cell_angle_beta 102.66
_cell_angle_gamma 90.00
_space_group_name_H-M_alt 'C 1 2/m 1'
_space_group_IT_number 12
loop_
_space_group_symop_operation_xyz
'x,y,z'
'-x,-y,-z'
'-x,y,-z'
'x,-y,z'
'x+1/2,y+1/2,z'
'-x+1/2,-y+1/2,-z'
'-x+1/2,y+1/2,-z'
'x+1/2,-y+1/2,z'
loop_
_atom_site_label
_atom_site_type_symbol
_atom_site_fract_x
_atom_site_fract_y
_atom_site_fract_z
Be1 Be 0.0000 0.0000 0.0000
Al1 Al 0.1957 0.5000 0.2473
Au1 Au 0.0134 0.0000 0.2962
Au2 Au 0.1396 0.5000 0.9334
Au3 Au 0.1618 0.5000 0.5709
```

Peak list (12 most intense, 2θ from 10° to 90°, low angle first)
26.4 deg, I 22; 27.4 deg, I 27; 31.1 deg, I 54; 34.2 deg, I 29; 38.0 deg, I 100; 39.1 deg, I 57; 42.5 deg, I 23; 42.7 deg, I 33; 44.5 deg, I 37; 63.4 deg, I 21; 73.6 deg, I 20; 74.4 deg, I 15


Record 8
# BeAlAu4
Simulated X-ray diffraction stick pattern, Cu Kα, 1.54184 Å. Input: a crystal structure in Alexandria, relaxed with GGA-PBE.
Kinematic intensities with the Lorentz-polarization factor, no thermal factor.

```
data_BeAlAu4
_chemical_formula_sum 'Be2 Al2 Au8'
_cell_length_a 5.8505
_cell_length_b 6.1016
_cell_length_c 7.1158
_cell_angle_alpha 64.63
_cell_angle_beta 68.67
_cell_angle_gamma 89.98
_space_group_name_H-M_alt 'P -1'
_space_group_IT_number 2
loop_
_space_group_symop_operation_xyz
'x,y,z'
'-x,-y,-z'
loop_
_atom_site_label
_atom_site_type_symbol
_atom_site_fract_x
_atom_site_fract_y
_atom_site_fract_z
Be1 Be 0.1222 0.3734 0.2548
Al1 Al 0.3692 0.1226 0.7548
Au1 Au 0.0000 0.2628 0.0003
Au2 Au 0.2415 0.9960 0.4960
Au3 Au 0.2416 0.5081 0.4963
Au4 Au 0.4999 0.2701 0.0000
```

Peak list (12 most intense, 2θ from 10° to 90°, low angle first)
29.3 deg, I 100; 30.4 deg, I 94; 30.6 deg, I 91; 42.3 deg, I 46; 42.7 deg, I 87; 42.9 deg, I 85; 45.0 deg, I 38; 52.3 deg, I 41; 54.6 deg, I 36; 69.4 deg, I 17; 69.5 deg, I 16; 71.1 deg, I 17


Record 9
# CeBe2AlAu5
Simulated X-ray diffraction stick pattern, Cu Kα, 1.54184 Å. Input: a crystal structure in Alexandria, relaxed with GGA-PBE.
Kinematic intensities with the Lorentz-polarization factor, no thermal factor.

```
data_CeBe2AlAu5
_chemical_formula_sum 'Ce1 Be2 Al1 Au5'
_cell_length_a 4.4103
_cell_length_b 4.4103
_cell_length_c 8.8565
_cell_angle_alpha 90.00
_cell_angle_beta 90.00
_cell_angle_gamma 90.00
_space_group_name_H-M_alt 'P 4/m m m'
_space_group_IT_number 123
_space_group_name_Hall '-P 4 2'
loop_
_atom_site_label
_atom_site_type_symbol
_atom_site_fract_x
_atom_site_fract_y
_atom_site_fract_z
Ce1 Ce 0.0000 0.0000 0.0000
Be1 Be 0.5000 0.5000 0.2519
Al1 Al 0.0000 0.0000 0.5000
Au1 Au 0.0000 0.5000 0.3293
Au2 Au 0.5000 0.5000 0.0000
```

Peak list (12 most intense, 2θ from 10° to 90°, low angle first)
28.6 deg, I 21; 30.3 deg, I 64; 30.4 deg, I 100; 35.2 deg, I 88; 40.9 deg, I 65; 42.2 deg, I 21; 50.6 deg, I 25; 51.7 deg, I 59; 59.3 deg, I 22; 60.1 deg, I 19; 68.0 deg, I 47; 70.8 deg, I 24


Record 10
# ErBe2AlAu4
Simulated X-ray diffraction stick pattern, Cu Kα, 1.54184 Å. Input: a crystal structure in Alexandria, relaxed with GGA-PBE.
Kinematic intensities with the Lorentz-polarization factor, no thermal factor.

```
data_ErBe2AlAu4
_chemical_formula_sum 'Er3 Be6 Al3 Au12'
_cell_length_a 4.2173
_cell_length_b 4.2173
_cell_length_c 26.5922
_cell_angle_alpha 90.00
_cell_angle_beta 90.00
_cell_angle_gamma 120.00
_space_group_name_H-M_alt 'R -3 m'
_space_group_IT_number 166
_space_group_name_Hall '-R 3 2"'
loop_
_atom_site_label
_atom_site_type_symbol
_atom_site_fract_x
_atom_site_fract_y
_atom_site_fract_z
Er1 Er 0.0000 0.0000 0.0000
Be1 Be 0.0000 0.0000 0.2467
Al1 Al 0.0000 0.0000 0.5000
Au1 Au 0.0000 0.0000 0.1273
Au2 Au 0.0000 0.0000 0.3985
```

Peak list (12 most intense, 2θ from 10° to 90°, low angle first)
25.3 deg, I 32; 27.9 deg, I 84; 29.7 deg, I 20; 34.1 deg, I 55; 36.6 deg, I 88; 42.0 deg, I 29; 42.9 deg, I 100; 45.0 deg, I 20; 57.6 deg, I 24; 69.2 deg, I 37; 74.4 deg, I 23; 78.6 deg, I 18


Record 11
# LiBeAl2Au5
Simulated X-ray diffraction stick pattern, Cu Kα, 1.54184 Å. Input: a crystal structure in Alexandria, relaxed with GGA-PBE.
Kinematic intensities with the Lorentz-polarization factor, no thermal factor.

```
data_LiBeAl2Au5
_chemical_formula_sum 'Li2 Be2 Al4 Au10'
_cell_length_a 4.4341
_cell_length_b 5.6638
_cell_length_c 13.3202
_cell_angle_alpha 90.00
_cell_angle_beta 90.00
_cell_angle_gamma 90.00
_space_group_name_H-M_alt 'I m m m'
_space_group_IT_number 71
_space_group_name_Hall '-I 2 2'
loop_
_atom_site_label
_atom_site_type_symbol
_atom_site_fract_x
_atom_site_fract_y
_atom_site_fract_z
Li1 Li 0.0000 0.0000 0.0000
Be1 Be 0.0000 0.0000 0.5000
Al1 Al 0.0000 0.5000 0.1955
Au1 Au 0.0000 0.2556 0.3594
Au2 Au 0.0000 0.5000 0.0000
```

Peak list (12 most intense, 2θ from 10° to 90°, low angle first)
17.0 deg, I 19; 21.1 deg, I 23; 25.5 deg, I 19; 26.8 deg, I 21; 28.4 deg, I 100; 38.3 deg, I 66; 40.7 deg, I 43; 41.9 deg, I 45; 43.0 deg, I 28; 52.4 deg, I 19; 59.8 deg, I 32; 62.4 deg, I 28


Record 12
# Li2Be2AlAu5
Simulated X-ray diffraction stick pattern, Cu Kα, 1.54184 Å. Input: a crystal structure in Alexandria, relaxed with GGA-PBE.
Kinematic intensities with the Lorentz-polarization factor, no thermal factor.

```
data_Li2Be2AlAu5
_chemical_formula_sum 'Li4 Be4 Al2 Au10'
_cell_length_a 9.8686
_cell_length_b 9.8686
_cell_length_c 3.2286
_cell_angle_alpha 90.00
_cell_angle_beta 90.00
_cell_angle_gamma 90.00
_space_group_name_H-M_alt 'P 4/m b m'
_space_group_IT_number 127
_space_group_name_Hall '-P 4 2ab'
loop_
_atom_site_label
_atom_site_type_symbol
_atom_site_fract_x
_atom_site_fract_y
_atom_site_fract_z
Li1 Li 0.1714 0.3286 0.0000
Be1 Be 0.1248 0.6248 0.0000
Al1 Al 0.0000 0.0000 0.0000
Au1 Au 0.0000 0.5000 0.5000
Au2 Au 0.0805 0.7974 0.5000
```

Peak list (12 most intense, 2θ from 10° to 90°, low angle first)
20.1 deg, I 45; 27.6 deg, I 100; 28.6 deg, I 74; 32.7 deg, I 53; 37.6 deg, I 57; 40.2 deg, I 85; 40.9 deg, I 33; 43.3 deg, I 54; 47.3 deg, I 56; 50.1 deg, I 28; 70.3 deg, I 30; 74.0 deg, I 45


Record 13
# PmBeAl2Au5
Simulated X-ray diffraction stick pattern, Cu Kα, 1.54184 Å. Input: a crystal structure in Alexandria, relaxed with GGA-PBE.
Kinematic intensities with the Lorentz-polarization factor, no thermal factor.

```
data_PmBeAl2Au5
_chemical_formula_sum 'Pm2 Be2 Al4 Au10'
_cell_length_a 4.4740
_cell_length_b 6.0465
_cell_length_c 13.0659
_cell_angle_alpha 90.00
_cell_angle_beta 90.00
_cell_angle_gamma 90.00
_space_group_name_H-M_alt 'I m m m'
_space_group_IT_number 71
_space_group_name_Hall '-I 2 2'
loop_
_atom_site_label
_atom_site_type_symbol
_atom_site_fract_x
_atom_site_fract_y
_atom_site_fract_z
Pm1 Pm 0.0000 0.0000 0.0000
Be1 Be 0.0000 0.0000 0.5000
Al1 Al 0.0000 0.5000 0.1947
Au1 Au 0.0000 0.2559 0.3534
Au2 Au 0.0000 0.5000 0.0000
```

Peak list (12 most intense, 2θ from 10° to 90°, low angle first)
28.6 deg, I 100; 32.6 deg, I 18; 36.5 deg, I 70; 40.3 deg, I 28; 40.7 deg, I 40; 41.5 deg, I 16; 41.6 deg, I 14; 58.6 deg, I 28; 59.2 deg, I 11; 62.0 deg, I 26; 69.0 deg, I 17; 70.8 deg, I 10


Record 14
# PuBeAl2Au5
Simulated X-ray diffraction stick pattern, Cu Kα, 1.54184 Å. Input: a crystal structure in Alexandria, relaxed with GGA-PBE.
Kinematic intensities with the Lorentz-polarization factor, no thermal factor.

```
data_PuBeAl2Au5
_chemical_formula_sum 'Pu2 Be2 Al4 Au10'
_cell_length_a 4.4808
_cell_length_b 6.0477
_cell_length_c 13.1027
_cell_angle_alpha 90.00
_cell_angle_beta 90.00
_cell_angle_gamma 90.00
_space_group_name_H-M_alt 'I m m m'
_space_group_IT_number 71
_space_group_name_Hall '-I 2 2'
loop_
_atom_site_label
_atom_site_type_symbol
_atom_site_fract_x
_atom_site_fract_y
_atom_site_fract_z
Pu1 Pu 0.0000 0.0000 0.0000
Be1 Be 0.0000 0.0000 0.5000
Al1 Al 0.0000 0.5000 0.1944
Au1 Au 0.0000 0.2543 0.3524
Au2 Au 0.0000 0.5000 0.0000
```

Peak list (12 most intense, 2θ from 10° to 90°, low angle first)
28.5 deg, I 100; 32.6 deg, I 22; 36.5 deg, I 71; 40.3 deg, I 27; 40.6 deg, I 39; 41.3 deg, I 17; 52.7 deg, I 12; 58.5 deg, I 27; 59.1 deg, I 12; 61.9 deg, I 25; 69.0 deg, I 17; 70.7 deg, I 11